[1]
For Ca4MgAu, a cell relaxed with GGA-PBE gives the theoretical powder XRD pattern in this record (CuKα).
Peak positions follow from Bragg's law for the DFT cell and can differ from measured ones.

Atomic structure:
a b c (Å): 10.3499 10.3499 10.3499
angles (deg): 60.00 60.00 60.00
Positions (direct):
1 Ca 0.1899 0.1899 0.8101
2 Ca 0.1899 0.8101 0.1899
3 Ca 0.1899 0.8101 0.8101
4 Ca 0.4018 0.4018 0.4018
5 Ca 0.4018 0.4018 0.7946
6 Ca 0.4018 0.7946 0.4018
7 Ca 0.5550 0.5550 0.9450
8 Ca 0.5550 0.9450 0.5550
9 Ca 0.5550 0.9450 0.9450
10 Ca 0.7946 0.4018 0.4018
11 Ca 0.8101 0.1899 0.1899
12 Ca 0.8101 0.1899 0.8101
13 Ca 0.8101 0.8101 0.1899
14 Ca 0.9450 0.5550 0.5550
15 Ca 0.9450 0.5550 0.9450
16 Ca 0.9450 0.9450 0.5550
17 Mg 0.1721 0.1721 0.1721
18 Mg 0.1721 0.1721 0.4837
19 Mg 0.1721 0.4837 0.1721
20 Mg 0.4837 0.1721 0.1721
21 Au 0.1712 0.6096 0.6096
22 Au 0.6096 0.1712 0.6096
23 Au 0.6096 0.6096 0.1712
24 Au 0.6096 0.6096 0.6096

Principal peaks in the range 10° ≤ 2θ ≤ 80°, low angle first:
two_theta	d [Å]	I/Imax
10.47	8.451	96.1
20.12	4.413	48.7
21.03	4.225	58.2
31.77	2.817	100.0
34.67	2.587	59.7
36.31	2.474	27.1
40.90	2.207	22.4
44.19	2.050	23.4
47.73	1.906	28.6
66.02	1.415	30.5

=====

[2]
For Ca2MgAu3, a cell relaxed with GGA-PBE gives the theoretical powder XRD pattern in this record (CuKα).
Peak positions follow from Bragg's law for the DFT cell and can differ from measured ones.

Atomic structure:
a b c (Å): 5.0470 5.0470 12.1212
angles (deg): 90.00 90.00 120.00
Positions (direct):
1 Ca 0.0000 0.0000 0.0000
2 Ca 0.0000 0.0000 0.5000
3 Ca 0.3333 0.6667 0.1779
4 Ca 0.6667 0.3333 0.8221
5 Mg 0.3333 0.6667 0.6640
6 Mg 0.6667 0.3333 0.3360
7 Au 0.0000 0.0000 0.2540
8 Au 0.0000 0.0000 0.7460
9 Au 0.3333 0.6667 0.4281
10 Au 0.3333 0.6667 0.9075
11 Au 0.6667 0.3333 0.0925
12 Au 0.6667 0.3333 0.5719

Principal peaks in the range 10° ≤ 2θ ≤ 80°, low angle first:
two_theta	d [Å]	I/Imax
25.12	3.545	100.0
35.58	2.524	90.7
36.07	2.490	83.5
44.05	2.056	23.9
51.56	1.773	30.0
57.85	1.594	21.9
58.53	1.577	19.0
63.89	1.457	16.5
64.21	1.450	31.0
65.16	1.432	13.0

=====

[3]
For Ca16Mg12Au, a cell relaxed with GGA-PBE gives the theoretical powder XRD pattern in this record (CuKα).
Peak positions follow from Bragg's law for the DFT cell and can differ from measured ones.

Atomic structure:
a b c (Å): 10.5896 10.5896 10.5821
angles (deg): 108.92 108.92 109.01
Positions (direct):
1 Ca 0.0000 0.0000 0.0000
2 Ca 0.2807 0.5756 0.5782
3 Ca 0.2855 0.2855 0.6864
4 Ca 0.3039 0.7093 0.2955
5 Ca 0.3949 0.9865 0.6688
6 Ca 0.4096 0.4096 0.3053
7 Ca 0.4236 0.6483 0.0158
8 Ca 0.5756 0.2807 0.5782
9 Ca 0.6334 0.9779 0.9855
10 Ca 0.6483 0.4236 0.0158
11 Ca 0.6769 0.9888 0.3950
12 Ca 0.7093 0.3039 0.2955
13 Ca 0.9779 0.6334 0.9855
14 Ca 0.9797 0.9797 0.6393
15 Ca 0.9865 0.3949 0.6688
16 Ca 0.9888 0.6769 0.3950
17 Mg 0.1456 0.3338 0.9626
18 Mg 0.1698 0.7926 0.8030
19 Mg 0.1767 0.9896 0.3433
20 Mg 0.3338 0.1456 0.9626
21 Mg 0.3594 0.9827 0.1603
22 Mg 0.6262 0.8055 0.6144
23 Mg 0.6340 0.6340 0.8133
24 Mg 0.7926 0.1698 0.8030
25 Mg 0.8055 0.6262 0.6144
26 Mg 0.8195 0.8195 0.1856
27 Mg 0.9827 0.3594 0.1603
28 Mg 0.9896 0.1767 0.3433
29 Au 0.6853 0.6853 0.3463

Principal peaks in the range 10° ≤ 2θ ≤ 80°, low angle first:
two_theta	d [Å]	I/Imax
10.08	8.779	61.8
10.27	8.616	59.8
17.72	5.005	39.5
30.55	2.926	85.8
30.88	2.896	60.1
31.10	2.876	100.0
34.47	2.602	23.0
37.14	2.421	25.8
37.61	2.391	26.9
54.75	1.677	22.5